# Ho5Tl2Ir2
Theoretical powder XRD pattern, λ = 1.5418 Å (Cu Kα). Input: the PBE geometry in Alexandria.

Principal peaks in the range 2θ from 10° to 90°, by angle:
| 2θ (°) | intensity | index |
| --- | --- | --- |
| 10.9 | 44 | 2 0 0 |
| 31.1 | 68 | 3 1 2 |
| 32.1 | 100 | 4 2 0 |
| 32.3 | 46 | 4 0 2 |
| 33.4 | 48 | 0 2 2 |
| 34.3 | 95 | 4 2 1 |
| 37.6 | 65 | 1 3 1 |
| 38.1 | 63 | 1 1 3 |
| 38.3 | 69 | 5 1 2 |
| 64.3 | 34 | 9 3 1 |

Structural model:
```
data_Ho5Tl2Ir2
_chemical_formula_sum 'Ho20 Tl8 Ir8'
_cell_length_a 16.3000
_cell_length_b 7.6501
_cell_length_c 7.5469
_cell_angle_alpha 90.00
_cell_angle_beta 90.00
_cell_angle_gamma 90.00
_space_group_name_H-M_alt 'C m c e'
_space_group_IT_number 64
_space_group_name_Hall '-C 2ac 2'
loop_
_atom_site_label
_atom_site_type_symbol
_atom_site_fract_x
_atom_site_fract_y
_atom_site_fract_z
Ho1 Ho 0.0000 0.0000 0.0000
Ho2 Ho 0.1139 0.1672 0.3374
Tl1 Tl 0.2194 0.0000 0.0000
Ir1 Ir 0.0000 0.1349 0.6373
```